The following is a simulated powder diffraction line list of VH12C2S2O12F6. It was derived from a DFT-relaxed cell (GGA+U, Alexandria), using Cu Kα X-rays.
Peak positions follow from Bragg's law for the DFT cell and can differ from measured ones.

Largest 10 diffraction maxima, low angle first, 5° ≤ 2θ ≤ 70°:
(hkl)  Position (°2θ)  d [Å]  I_rel
1 1 -1  18.48  4.800  100
3 1 0  19.11  4.645  49
5 1 0  27.23  3.274  11
2 0 -2  27.34  3.262  13
6 0 0  29.02  3.077  16
6 0 -1  29.34  3.044  8
2 2 1  31.38  2.850  27
3 1 -3  43.54  2.079  8
6 0 -3  46.07  1.970  7
5 3 1  49.54  1.840  9

Structure:
```
data_VH12C2S2O12F6
_space_group_name_H-M_alt 'C 1 2/m 1'
_space_group_IT_number 12
_space_group_name_Hall '-C 2y'
_cell_length_a 18.9180
_cell_length_b 7.0812
_cell_length_c 6.5819
_cell_angle_alpha 90.00
_cell_angle_beta 102.57
_cell_angle_gamma 90.00
loop_
_atom_site_label
_atom_site_type_symbol
_atom_site_fract_x
_atom_site_fract_y
_atom_site_fract_z
V1 V 0.0000 0.0000 0.0000
H1 H 0.0709 0.1125 0.6817
H2 H 0.0828 0.2609 0.2958
H3 H 0.0918 0.3152 0.0679
C1 C 0.2254 0.5000 0.7033
S1 S 0.1253 0.5000 0.6859
O1 O 0.0512 0.0000 0.7374
O2 O 0.0732 0.2190 0.1502
O3 O 0.1000 0.3261 0.5722
O4 O 0.1179 0.5000 0.9028
F1 F 0.2388 0.5000 0.5094
F2 F 0.2446 0.1554 0.1944
```